Entry 1:
The following is a calculated X-ray diffraction stick pattern of ZnCo. It was derived from a DFT-relaxed cell (GGA-PBE, Alexandria), using Cu Kα, 1.54184 Å.

Atomic structure:
```
data_ZnCo
_cell_length_a 4.441
_cell_length_b 4.204
_cell_length_c 5.246
_cell_angle_alpha 90.00
_cell_angle_beta 90.00
_cell_angle_gamma 90.00
_symmetry_space_group_name_H-M 'P n m a'
_symmetry_Int_Tables_number 62
loop_
_symmetry_equiv_pos_as_xyz
'x,y,z'
'-x,-y,-z'
'-x+1/2,-y,z+1/2'
'x+1/2,y,-z+1/2'
'x+1/2,-y+1/2,-z+1/2'
'-x+1/2,y+1/2,z+1/2'
'-x,y+1/2,-z'
'x,-y+1/2,z'
loop_
_atom_site_label
_atom_site_fract_x
_atom_site_fract_y
_atom_site_fract_z
_atom_site_occupancy
Zn1 0.082 0.250 0.125 1
Co1 0.064 0.250 0.624 1
```

Top 6 peaks for 2θ = 10–90°, by angle:
d [Å]	Position (°2θ)	I/Imax	index
2.259	39.9	19	1 0 2
2.220	40.6	16	2 0 0
2.102	43.0	37	0 2 0
1.990	45.6	100	1 1 2
1.963	46.2	38	2 1 0
1.191	80.7	17	1 3 2


Entry 2:
The following is a calculated X-ray diffraction stick pattern of Zn4Co3. It was derived from a DFT-relaxed cell (GGA-PBE, Alexandria), using Cu Kα, 1.54184 Å.

Atomic structure:
```
data_Zn4Co3
_cell_length_a 2.716
_cell_length_b 2.716
_cell_length_c 24.072
_cell_angle_alpha 90.00
_cell_angle_beta 90.00
_cell_angle_gamma 90.00
_symmetry_space_group_name_H-M 'I 4/m m m'
_symmetry_Int_Tables_number 139
_symmetry_space_group_name_Hall '-I 4 2'
loop_
_atom_site_label
_atom_site_fract_x
_atom_site_fract_y
_atom_site_fract_z
_atom_site_occupancy
Zn1 0.000 0.000 0.067 1
Zn2 0.000 0.000 0.350 1
Co1 0.000 0.000 0.220 1
Co2 0.000 0.000 0.500 1
```

Top 6 peaks for 2θ = 10–90°, by angle:
d [Å]	Position (°2θ)	I/Imax	index
2.131	42.4	100	1 0 7
1.921	47.3	38	1 1 0
1.719	53.3	10	0 0 14
1.358	69.2	11	2 0 0
1.281	74.0	14	1 1 14
1.145	84.6	24	2 1 7


Entry 3:
The following is a calculated X-ray diffraction stick pattern of Zn3Co. It was derived from a DFT-relaxed cell (GGA-PBE, Alexandria), using Cu Kα, 1.54184 Å.

Atomic structure:
```
data_Zn3Co
_cell_length_a 6.087
_cell_length_b 6.087
_cell_length_c 6.744
_cell_angle_alpha 90.00
_cell_angle_beta 90.00
_cell_angle_gamma 90.00
_symmetry_space_group_name_H-M 'P 42/m n m'
_symmetry_Int_Tables_number 136
_symmetry_space_group_name_Hall '-P 4n 2n'
loop_
_atom_site_label
_atom_site_fract_x
_atom_site_fract_y
_atom_site_fract_z
_atom_site_occupancy
Zn1 0.000 0.500 0.000 1
Zn2 0.162 0.162 0.235 1
Co1 0.127 0.873 0.500 1
```

Top 6 peaks for 2θ = 10–90°, by angle:
d [Å]	Position (°2θ)	I/Imax	index
4.519	19.6	23	1 0 1
2.654	33.8	27	1 1 2
2.259	39.9	47	2 0 2
2.118	42.7	100	2 1 2
1.925	47.2	51	3 1 0
1.268	74.9	22	3 1 4


Q: Which formula does entry 2 have?
A: Zn4Co3